1.
The following is a calculated XRD peak list of HfCdBi2. It was derived from a PBE-relaxed structure, using Cu Kα X-rays.
Kinematic intensities with the Lorentz-polarization factor, no thermal factor.

Principal peaks in the range 10° ≤ 2θ ≤ 80°, in order of rising 2θ:
Position (°2θ)	Rel. int.	h k l
29.80	43	0 0 12
31.14	32	1 0 1
31.44	77	0 1 2
33.50	75	0 1 5
40.10	100	1 0 10
55.22	41	1 1 0

Cell and atoms:
Cell: 3.3270 3.3270 35.9750 Å, 90.00 90.00 120.00°
Space group R-3m (No. 166, hexagonal axes)
Symmetry-distinct sites (fractional):
Hf  0.0000  0.0000  0.0000 (multiplicity 3)
Cd  0.0000  0.0000  0.5000 (multiplicity 3)
Bi  0.0000  0.0000  0.4039 (multiplicity 6)



2.
The following is a calculated XRD peak list of SbTeS. It was derived from a PBE-relaxed structure, using Cu Kα X-rays.
Kinematic intensities with the Lorentz-polarization factor, no thermal factor.

Principal peaks in the range 10° ≤ 2θ ≤ 80°, in order of rising 2θ:
Position (°2θ)	Rel. int.	h k l
16.29	100	0 0 1
22.44	56	0 1 1
30.72	72	1 0 1
30.95	47	0 2 0
44.17	52	1 2 1
45.27	47	1 1 2

Cell and atoms:
Cell: 3.4450 5.7786 5.4421 Å, 90.00 90.00 90.00°
Space group Pmm2 (No. 25)
Symmetry-distinct sites (fractional):
Sb  0.0000  0.0000  0.0000 (multiplicity 1)
Te  0.0000  0.5000  0.1610 (multiplicity 1)
S  0.5000  0.0000  0.6828 (multiplicity 1)



3.
The following is a calculated XRD peak list of Ac8Bi4Te3S. It was derived from a PBE-relaxed structure, using Cu Kα X-rays.
Kinematic intensities with the Lorentz-polarization factor, no thermal factor.

Principal peaks in the range 10° ≤ 2θ ≤ 80°, in order of rising 2θ:
Position (°2θ)	Rel. int.	h k l
26.47	100	0 2 4
37.60	40	2 2 0
37.96	39	2 0 8
46.57	22	4 0 4
61.33	19	2 4 4
61.84	19	2 2 12

Cell and atoms:
Cell: 9.5693 9.5693 23.1147 Å, 90.00 90.00 120.00°
Space group R-3m (No. 166, hexagonal axes)
Symmetry-distinct sites (fractional):
Ac  0.0000  0.0000  0.2502 (multiplicity 6)
Ac  0.0119  0.5059  0.2474 (multiplicity 18)
Bi  0.0000  0.0000  0.0000 (multiplicity 3)
Bi  0.0000  0.5000  0.0000 (multiplicity 9)
Te  0.0000  0.5000  0.5000 (multiplicity 9)
S  0.0000  0.0000  0.5000 (multiplicity 3)



4.
The following is a calculated XRD peak list of ErScBiO2. It was derived from a PBE-relaxed structure, using Cu Kα X-rays.
Kinematic intensities with the Lorentz-polarization factor, no thermal factor.

Principal peaks in the range 10° ≤ 2θ ≤ 80°, in order of rising 2θ:
Position (°2θ)	Rel. int.	h k l
24.55	24	1 0 1
31.26	100	1 0 3
33.61	35	1 1 0
48.27	17	2 0 0
54.09	24	1 1 6
58.64	34	2 1 3

Cell and atoms:
Cell: 3.7708 3.7708 13.1797 Å, 90.00 90.00 90.00°
Space group I4mm (No. 107)
Symmetry-distinct sites (fractional):
Er  0.0000  0.0000  0.0000 (multiplicity 2)
Sc  0.0000  0.0000  0.6573 (multiplicity 2)
Bi  0.0000  0.0000  0.3273 (multiplicity 2)
O  0.0000  0.5000  0.0869 (multiplicity 4)



5.
The following is a calculated XRD peak list of Mg6TlIn3. It was derived from a PBE-relaxed structure, using Cu Kα X-rays.
Kinematic intensities with the Lorentz-polarization factor, no thermal factor.

Principal peaks in the range 10° ≤ 2θ ≤ 80°, in order of rising 2θ:
Position (°2θ)	Rel. int.	h k l
17.97	100	1 1 1
24.21	72	1 3 1
29.83	97	1 5 0
32.17	62	2 4 1
35.75	64	1 3 2
36.41	88	2 2 2

Cell and atoms:
Cell: 10.6738 15.5856 5.9585 Å, 90.00 90.00 90.00°
Space group Cmc2_1 (No. 36)
Symmetry-distinct sites (fractional):
Mg  0.0000  0.0578  0.0000 (multiplicity 4)
Mg  0.0000  0.2808  0.2654 (multiplicity 4)
Mg  0.2339  0.4974  0.2445 (multiplicity 8)
Mg  0.2374  0.1838  0.0010 (multiplicity 8)
Tl  0.0000  0.2904  0.7857 (multiplicity 4)
In  0.0000  0.4573  0.4866 (multiplicity 4)
In  0.1435  0.1374  0.4923 (multiplicity 8)



6.
The following is a calculated XRD peak list of Ni2Pd5. It was derived from a PBE-relaxed structure, using Cu Kα X-rays.
Kinematic intensities with the Lorentz-polarization factor, no thermal factor.

Principal peaks in the range 10° ≤ 2θ ≤ 80°, in order of rising 2θ:
Position (°2θ)	Rel. int.	h k l
37.91	36	3 1 -2
38.57	31	0 2 0
40.39	74	4 0 2
43.12	99	5 1 -1
43.22	100	1 1 -3
43.76	75	2 2 1

Cell and atoms:
Cell: 12.1908 4.6679 7.0828 Å, 90.00 93.79 90.00°
Space group C2/c (No. 15)
Symmetry-distinct sites (fractional):
Ni  0.0705  0.1756  0.1077 (multiplicity 8)
Pd  0.0000  0.3076  0.7500 (multiplicity 4)
Pd  0.1346  0.3222  0.4603 (multiplicity 8)
Pd  0.2156  0.1685  0.8230 (multiplicity 8)



7.
The following is a calculated XRD peak list of SnC2N6F6. It was derived from a PBE-relaxed structure, using Cu Kα X-rays.
Kinematic intensities with the Lorentz-polarization factor, no thermal factor.

Principal peaks in the range 10° ≤ 2θ ≤ 80°, in order of rising 2θ:
Position (°2θ)	Rel. int.	h k l
12.81	53	0 0 1
15.98	100	1 1 0
17.64	69	2 0 -1
22.44	51	1 1 1
27.61	38	1 1 -2
29.84	25	0 2 1

Cell and atoms:
Cell: 10.7973 6.6419 7.3976 Å, 90.00 110.93 90.00°
Space group Cm (No. 8)
Symmetry-distinct sites (fractional):
Sn  0.0000  0.0000  0.0000 (multiplicity 2)
C  0.1257  0.0000  0.6523 (multiplicity 2)
C  0.2046  0.5000  0.2945 (multiplicity 2)
N  0.0696  0.5000  0.2051 (multiplicity 2)
N  0.1070  0.1927  0.6629 (multiplicity 4)
N  0.2286  0.0000  0.5844 (multiplicity 2)
N  0.2683  0.3211  0.3362 (multiplicity 4)
F  0.0300  0.2137  0.2142 (multiplicity 4)
F  0.1890  0.0000  0.0432 (multiplicity 2)
F  0.3120  0.5000  0.9556 (multiplicity 2)
F  0.4767  0.2835  0.7913 (multiplicity 4)



8.
The following is a calculated XRD peak list of Cs11Hg2Au. It was derived from a PBE-relaxed structure, using Cu Kα X-rays.
Kinematic intensities with the Lorentz-polarization factor, no thermal factor.

Principal peaks in the range 10° ≤ 2θ ≤ 80°, in order of rising 2θ:
Position (°2θ)	Rel. int.	h k l
11.97	100	1 1 2
23.50	42	2 3 3
24.07	55	2 2 4
24.45	48	1 4 3
25.46	49	3 3 2
26.61	71	1 5 2

Cell and atoms:
Cell: 14.1719 18.4280 19.6320 Å, 90.00 90.00 90.00°
Space group Ibam (No. 72)
Symmetry-distinct sites (fractional):
Cs  0.0000  0.0000  0.0000 (multiplicity 4)
Cs  0.1129  0.2965  0.1624 (multiplicity 16)
Cs  0.1239  0.2200  0.5000 (multiplicity 8)
Cs  0.1893  0.4517  0.3706 (multiplicity 16)
Hg  0.1507  0.1713  0.0000 (multiplicity 8)
Au  0.0000  0.5000  0.2500 (multiplicity 4)



9.
The following is a calculated XRD peak list of Sr2Zn3Au17. It was derived from a PBE-relaxed structure, using Cu Kα X-rays.
Kinematic intensities with the Lorentz-polarization factor, no thermal factor.

Principal peaks in the range 10° ≤ 2θ ≤ 80°, in order of rising 2θ:
Position (°2θ)	Rel. int.	h k l
11.50	38	1 0 1
34.33	86	2 2 0
34.99	46	3 0 3
35.97	40	2 1 4
36.91	49	0 0 6
39.13	100	2 2 3

Cell and atoms:
Cell: 10.4488 10.4488 14.6110 Å, 90.00 90.00 120.00°
Space group R-3m (No. 166, hexagonal axes)
Symmetry-distinct sites (fractional):
Sr  0.0000  0.0000  0.1546 (multiplicity 6)
Zn  0.0000  0.5000  0.5000 (multiplicity 9)
Au  0.0000  0.0000  0.3934 (multiplicity 6)
Au  0.0000  0.2633  0.5000 (multiplicity 18)
Au  0.0000  0.5000  0.0000 (multiplicity 9)
Au  0.0173  0.5087  0.6724 (multiplicity 18)